Starting from the GGA-PBE geometry in Alexandria, the PXRD pattern of Nd3Sm4Cd4 was computed for Cu Ka.

Lattice parameters (Å, degrees): 9.9119 9.9119 9.9119 148.33 138.08 53.47
Positions (direct):
Nd 0.0000 0.0000 0.0000
Nd 0.3987 0.8987 0.5000
Nd 0.6013 0.1013 0.5000
Sm 0.0552 0.3193 0.7359
Sm 0.4166 0.6807 0.7359
Sm 0.5834 0.3193 0.2641
Sm 0.9448 0.6807 0.2641
Cd 0.1754 0.1754 0.0000
Cd 0.2936 0.5000 0.7936
Cd 0.7064 0.5000 0.2064
Cd 0.8246 0.8246 0.0000

Peak list (10 most intense, 5° ≤ 2θ ≤ 70°, sorted by position)
- d 3.168, 2θ = 28.17°, I = 24
- d 3.084, 2θ = 28.95°, I = 20
- d 2.963, 2θ = 30.17°, I = 30
- d 2.951, 2θ = 30.29°, I = 23
- d 2.925, 2θ = 30.57°, I = 100
- d 2.705, 2θ = 33.12°, I = 53
- d 2.650, 2θ = 33.83°, I = 27
- d 2.433, 2θ = 36.94°, I = 26
- d 2.272, 2θ = 39.67°, I = 37
- d 1.415, 2θ = 66.05°, I = 24